Calculated X-ray powder pattern of Li3SiAu4 for copper Kα, from the GGA-PBE geometry in Alexandria.
Neutral-atom scattering factors, no anomalous dispersion.

Principal peaks in the range 10 to 80 degrees two-theta, low angle first:
2θ (°)	d/Å	I (rel.)
28.32	3.151	100.0
29.16	3.062	46.5
40.48	2.228	49.1
41.10	2.196	94.1
50.67	1.802	41.6
58.59	1.576	16.8
66.33	1.409	18.8
66.77	1.401	18.4
68.09	1.377	17.4
74.04	1.280	25.7
74.11	1.279	8.5
75.29	1.262	12.3

Cell and atoms:
```
8
Lattice="6.513 -2.228 0.000 6.513 2.228 0.000 -1.517 0.000 4.190" Properties=species:S:1:pos:R:3 pbc="T T T"
Li 0.000 0.000 0.000
Li 2.897 0.000 1.055
Li 8.612 0.000 3.135
Si 5.755 0.000 2.095
Au 0.675 0.000 2.615
Au 3.562 0.000 3.671
Au 7.947 0.000 0.519
Au 10.834 0.000 1.575
```

Calculated X-ray powder pattern of Li8SiAu3 for copper Kα, from the GGA-PBE geometry in Alexandria.
Neutral-atom scattering factors, no anomalous dispersion.

Principal peaks in the range 10 to 80 degrees two-theta, low angle first:
2θ (°)	d/Å	I (rel.)
16.11	5.502	37.7
24.97	3.566	100.0
25.09	3.550	99.1
28.72	3.109	30.9
29.11	3.067	59.7
41.35	2.184	61.3
41.49	2.176	15.2
41.78	2.162	14.9
48.69	1.870	33.9
49.10	1.855	33.1
49.29	1.849	32.7
68.18	1.375	16.6

Cell and atoms:
```
12
Lattice="0.000 4.352 6.218 4.324 0.000 6.218 4.324 4.352 0.000" Properties=species:S:1:pos:R:3 pbc="T T T"
Li 6.548 4.352 4.705
Li 4.324 2.105 4.717
Li 4.324 2.105 7.718
Li 6.548 4.352 7.731
Li 2.099 4.352 4.705
Li 4.324 6.600 4.717
Li 4.324 6.600 7.718
Li 2.099 4.352 7.731
Si 0.000 0.000 0.000
Au 2.162 2.176 3.109
Au 4.324 4.352 6.218
Au 6.486 6.529 9.327
```

Calculated X-ray powder pattern of LiSiAu2 for copper Kα, from the GGA-PBE geometry in Alexandria.
Neutral-atom scattering factors, no anomalous dispersion.

Principal peaks in the range 10 to 80 degrees two-theta, low angle first:
2θ (°)	d/Å	I (rel.)
17.36	5.107	77.3
26.87	3.318	100.0
31.48	2.842	19.0
37.77	2.382	57.8
38.17	2.358	60.6
40.01	2.253	31.2
40.95	2.204	69.3
41.14	2.194	28.6
41.37	2.182	35.8
58.91	1.568	20.4
59.75	1.548	28.3
75.15	1.264	22.3

Cell and atoms:
```
4
Lattice="2.937 0.000 0.000 0.000 4.365 0.000 -1.331 0.000 5.107" Properties=species:S:1:pos:R:3 pbc="T T T"
Li 0.000 0.000 0.000
Si 1.439 2.182 1.210
Au 0.124 2.182 3.850
Au 1.501 0.000 2.366
```

Calculated X-ray powder pattern of LiSiAu2 for copper Kα, from the GGA-PBE geometry in Alexandria.
Neutral-atom scattering factors, no anomalous dispersion.

Principal peaks in the range 10 to 80 degrees two-theta, low angle first:
2θ (°)	d/Å	I (rel.)
26.83	3.323	100.0
30.81	2.903	35.5
38.31	2.350	56.6
41.21	2.190	46.1
41.39	2.182	45.7
49.79	1.831	9.6
49.94	1.826	19.1
50.09	1.821	9.5
55.29	1.661	19.7
62.50	1.486	19.7
71.12	1.326	9.4
71.24	1.324	9.4

Cell and atoms:
```
4
Lattice="2.350 -2.350 0.000 2.350 2.350 0.000 -0.033 0.000 5.805" Properties=species:S:1:pos:R:3 pbc="T T T"
Li 0.000 0.000 0.000
Si -0.017 0.000 2.903
Au 2.312 0.000 4.374
Au 2.354 0.000 1.431
```

Calculated X-ray powder pattern of LiSi2Au2 for copper Kα, from the GGA-PBE geometry in Alexandria.
Neutral-atom scattering factors, no anomalous dispersion.

Principal peaks in the range 10 to 80 degrees two-theta, low angle first:
2θ (°)	d/Å	I (rel.)
25.65	3.473	100.0
26.76	3.332	15.2
32.02	2.795	9.9
35.29	2.544	26.7
37.86	2.376	12.4
40.62	2.221	10.4
42.20	2.141	44.6
44.83	2.022	32.6
50.76	1.799	17.0
57.72	1.597	22.1
66.95	1.398	9.7
68.08	1.377	22.1

Cell and atoms:
```
5
Lattice="-1.799 1.799 6.663 1.799 -1.799 6.663 1.799 1.799 -6.663" Properties=species:S:1:pos:R:3 pbc="T T T"
Li 0.000 0.000 0.000
Si 1.799 0.000 3.332
Si 0.000 1.799 3.332
Au 0.000 0.000 5.325
Au 0.000 0.000 8.001
```

Calculated X-ray powder pattern of Li3SiAu6 for copper Kα, from the GGA-PBE geometry in Alexandria.
Neutral-atom scattering factors, no anomalous dispersion.

Principal peaks in the range 10 to 80 degrees two-theta, low angle first:
2θ (°)	d/Å	I (rel.)
23.78	3.742	57.8
28.53	3.129	29.3
29.82	2.996	51.2
36.22	2.480	100.0
39.56	2.278	40.0
40.65	2.220	30.7
42.45	2.130	33.5
43.81	2.066	25.4
49.23	1.851	17.1
53.16	1.723	27.3
70.27	1.339	24.1
73.61	1.287	17.2

Cell and atoms:
```
20
Lattice="8.087 0.000 0.000 0.000 9.880 0.000 0.000 0.000 4.259" Properties=species:S:1:pos:R:3 pbc="T T T"
Li 0.000 0.000 0.000
Li 0.971 2.185 2.130
Li 3.073 7.125 0.000
Li 4.044 4.940 2.130
Li 5.014 2.755 0.000
Li 7.117 7.695 2.130
Si 0.000 4.940 0.000
Si 4.044 0.000 2.130
Au 0.533 7.369 0.000
Au 1.403 5.599 2.130
Au 1.647 8.878 2.130
Au 2.396 3.938 0.000
Au 2.641 0.659 0.000
Au 3.511 2.429 2.130
Au 4.577 7.452 2.130
Au 5.447 9.222 0.000
Au 5.691 5.942 0.000
Au 6.440 1.002 2.130
Au 6.684 4.282 2.130
Au 7.554 2.512 0.000
```

Calculated X-ray powder pattern of LiSm2Si3Au4 for copper Kα, from the GGA-PBE geometry in Alexandria.
Neutral-atom scattering factors, no anomalous dispersion.

Principal peaks in the range 10 to 80 degrees two-theta, low angle first:
2θ (°)	d/Å	I (rel.)
26.44	3.372	27.7
27.05	3.297	42.6
30.39	2.941	93.2
33.64	2.664	76.5
34.13	2.627	100.0
41.55	2.174	77.8
46.50	1.953	27.4
49.71	1.834	24.2
49.92	1.827	20.8
54.48	1.684	39.2
60.21	1.537	26.2
71.06	1.327	24.2

Cell and atoms:
```
10
Lattice="4.347 0.000 0.000 0.000 4.347 0.000 0.000 0.000 10.115" Properties=species:S:1:pos:R:3 pbc="T T T"
Li 0.000 0.000 0.000
Sm 0.000 2.174 7.548
Sm 2.174 0.000 2.566
Si 0.000 2.174 3.651
Si 2.174 0.000 6.464
Si 2.174 2.174 0.000
Au 0.000 0.000 5.057
Au 0.000 2.174 1.236
Au 2.174 0.000 8.879
Au 2.174 2.174 5.057
```

Calculated X-ray powder pattern of LiTmSi2Au2 for copper Kα, from the GGA-PBE geometry in Alexandria.
Neutral-atom scattering factors, no anomalous dispersion.

Principal peaks in the range 10 to 80 degrees two-theta, low angle first:
2θ (°)	d/Å	I (rel.)
27.50	3.243	100.0
36.45	2.465	61.7
41.24	2.189	10.8
41.96	2.153	50.4
50.90	1.794	19.2
56.77	1.622	17.4
60.29	1.535	21.4
61.73	1.503	7.1
68.02	1.378	16.3
72.38	1.306	7.6
73.04	1.295	16.6
76.65	1.243	8.8

Cell and atoms:
```
6
Lattice="4.307 0.000 0.000 -2.153 3.730 0.000 0.000 0.000 6.568" Properties=species:S:1:pos:R:3 pbc="T T T"
Li 0.000 0.000 0.000
Tm 0.000 0.000 3.284
Si 0.000 2.486 1.463
Si 2.153 1.243 5.105
Au 0.000 2.486 5.224
Au 2.153 1.243 1.344
```

Calculated X-ray powder pattern of LiSm2Au3 for copper Kα, from the GGA-PBE geometry in Alexandria.
Neutral-atom scattering factors, no anomalous dispersion.

Principal peaks in the range 10 to 80 degrees two-theta, low angle first:
2θ (°)	d/Å	I (rel.)
21.44	4.145	8.0
24.99	3.564	24.5
35.23	2.548	100.0
36.03	2.493	83.7
46.63	1.948	8.2
51.27	1.782	30.7
57.31	1.608	10.3
63.22	1.471	18.6
63.74	1.460	32.2
65.28	1.429	15.0
74.49	1.274	11.6
76.41	1.246	9.5

Cell and atoms:
```
12
Lattice="5.095 0.000 0.000 -2.548 4.413 0.000 0.000 0.000 12.085" Properties=species:S:1:pos:R:3 pbc="T T T"
Li 0.000 2.942 2.039
Li 2.548 1.471 10.046
Sm 0.000 0.000 0.000
Sm 0.000 0.000 6.043
Sm 0.000 2.942 8.317
Sm 2.548 1.471 3.769
Au 0.000 0.000 3.033
Au 0.000 0.000 9.052
Au 0.000 2.942 5.047
Au 0.000 2.942 11.369
Au 2.548 1.471 0.717
Au 2.548 1.471 7.038
```

Calculated X-ray powder pattern of LiSmAu4 for copper Kα, from the GGA-PBE geometry in Alexandria.
Neutral-atom scattering factors, no anomalous dispersion.

Principal peaks in the range 10 to 80 degrees two-theta, low angle first:
2θ (°)	d/Å	I (rel.)
24.77	3.595	53.1
26.17	3.406	64.5
29.01	3.078	28.4
32.58	2.748	45.0
36.34	2.472	100.0
37.53	2.396	29.3
41.36	2.183	70.2
42.26	2.138	81.7
49.60	1.838	34.1
57.79	1.596	33.8
70.08	1.343	30.1
79.88	1.201	21.4

Cell and atoms:
```
6
Lattice="2.747 -3.406 0.000 2.747 3.406 0.000 0.000 0.000 7.189" Properties=species:S:1:pos:R:3 pbc="T T T"
Li 0.000 0.000 0.000
Sm 2.747 0.000 3.595
Au 1.374 1.703 1.514
Au 1.374 1.703 5.675
Au 1.374 -1.703 1.514
Au 1.374 -1.703 5.675
```

Calculated X-ray powder pattern of LiSmThAu for copper Kα, from the GGA-PBE geometry in Alexandria.
Neutral-atom scattering factors, no anomalous dispersion.

Principal peaks in the range 10 to 80 degrees two-theta, low angle first:
2θ (°)	d/Å	I (rel.)
20.80	4.271	28.9
24.06	3.699	10.7
34.29	2.615	100.0
40.44	2.230	16.6
42.32	2.135	3.2
49.27	1.849	18.3
54.03	1.697	7.2
55.56	1.654	4.4
61.40	1.510	38.1
65.57	1.424	5.5
72.25	1.308	11.9
76.13	1.250	5.5

Cell and atoms:
```
4
Lattice="0.000 3.699 3.699 3.699 0.000 3.699 3.699 3.699 0.000" Properties=species:S:1:pos:R:3 pbc="T T T"
Li 0.000 0.000 0.000
Sm 5.548 5.548 5.548
Th 1.849 1.849 1.849
Au 3.699 3.699 3.699
```

Calculated X-ray powder pattern of Li3Sn2Au for copper Kα, from the GGA-PBE geometry in Alexandria.
Neutral-atom scattering factors, no anomalous dispersion.

Principal peaks in the range 10 to 80 degrees two-theta, low angle first:
2θ (°)	d/Å	I (rel.)
23.05	3.858	100.0
37.59	2.393	33.6
38.24	2.354	31.8
38.44	2.342	31.3
44.38	2.041	18.5
44.74	2.026	18.1
45.86	1.979	16.4
59.68	1.549	7.8
60.60	1.528	7.3
68.14	1.376	12.1
68.54	1.369	11.9
69.82	1.347	10.9

Cell and atoms:
```
12
Lattice="0.000 3.402 9.780 3.366 0.000 9.780 3.366 3.402 0.000" Properties=species:S:1:pos:R:3 pbc="T T T"
Li 0.842 0.850 2.445
Li 2.525 2.551 4.011
Li 4.208 4.252 8.901
Li 2.525 2.551 10.658
Li 4.208 4.252 15.548
Li 5.891 5.953 17.114
Sn 2.525 2.551 0.890
Sn 4.208 4.252 5.780
Sn 2.525 2.551 13.779
Sn 4.208 4.252 18.669
Au 2.525 2.551 7.335
Au 4.208 4.252 12.224
```

Calculated X-ray powder pattern of Li3Sn2Au3 for copper Kα, from the GGA-PBE geometry in Alexandria.
Neutral-atom scattering factors, no anomalous dispersion.

Principal peaks in the range 10 to 80 degrees two-theta, low angle first:
2θ (°)	d/Å	I (rel.)
22.25	3.995	26.7
22.96	3.874	18.0
23.23	3.829	40.2
26.81	3.325	38.5
29.22	3.056	25.4
38.10	2.362	89.0
38.45	2.341	100.0
45.26	2.004	18.7
52.78	1.735	21.4
55.25	1.663	30.9
69.32	1.356	31.8
69.55	1.352	18.2

Cell and atoms:
```
8
Lattice="2.341 1.352 7.748 -2.341 1.352 7.748 0.000 -2.703 7.748" Properties=species:S:1:pos:R:3 pbc="T T T"
Li 0.000 0.000 0.000
Li 0.000 0.000 2.971
Li 0.000 0.000 11.779
Sn 0.000 0.000 5.920
Sn 0.000 0.000 17.398
Au 0.000 0.000 9.058
Au 0.000 0.000 14.525
Au 0.000 0.000 20.204
```

Calculated X-ray powder pattern of Li5Sn2Au12 for copper Kα, from the GGA-PBE geometry in Alexandria.
Neutral-atom scattering factors, no anomalous dispersion.

Principal peaks in the range 10 to 80 degrees two-theta, low angle first:
2θ (°)	d/Å	I (rel.)
21.07	4.216	25.9
23.33	3.812	33.0
24.06	3.699	34.3
27.13	3.287	38.1
27.31	3.266	23.9
31.91	2.804	27.6
34.17	2.624	37.7
36.79	2.443	30.3
37.51	2.398	27.0
38.55	2.335	100.0
41.15	2.194	57.4
43.72	2.071	38.3

Cell and atoms:
```
19
Lattice="7.716 -2.807 0.000 7.716 2.807 0.000 -2.553 0.000 8.402" Properties=species:S:1:pos:R:3 pbc="T T T"
Li 0.000 0.000 0.000
Li 4.346 0.000 0.990
Li 3.851 0.000 5.369
Li 9.028 0.000 3.033
Li 8.532 0.000 7.413
Sn 6.439 1.392 4.201
Sn 6.439 -1.392 4.201
Au 3.642 1.408 3.203
Au 3.146 1.402 7.529
Au -0.472 0.000 6.766
Au 9.733 1.402 0.874
Au 9.237 1.408 5.200
Au 7.065 0.000 1.356
Au 5.814 0.000 7.047
Au 3.642 -1.408 3.203
Au 3.146 -1.402 7.529
Au 13.351 0.000 1.636
Au 9.733 -1.402 0.874
Au 9.237 -1.408 5.200
```